This entry pairs a crystal structure of LiLa8V8O32 with its computed powder XRD pattern. Radiation: CuKα. Structure: a crystal structure in the Materials Project, relaxed with GGA+U.
Kinematic intensities with the Lorentz-polarization factor, no thermal factor.

Principal peaks in the range 2θ from 10° to 90°, in order of rising 2θ:
Position (°2θ), I/Imax
25.8, 100
27.1, 85
27.7, 83
28.8, 34
29.5, 66
29.8, 56
31.9, 43
39.3, 35

Structural model:
```
LiLa8V8O32
1.0
7.1931 0.0000 0.0000
-0.2368 7.3680 0.0000
-3.3900 -0.2182 13.2220
Li La V O
1 8 8 32
direct
0.0000 0.0000 0.0000
0.0053 0.3713 0.9340
0.2674 0.5425 0.6857
0.2687 0.8168 0.1101
0.4775 0.0435 0.8412
0.5152 0.3519 0.4378
0.7305 0.8530 0.5897
0.7728 0.5368 0.1870
0.9732 0.0429 0.3359
0.0028 0.5345 0.4442
0.2421 0.0319 0.5803
0.2468 0.3439 0.1924
0.5019 0.8614 0.3409
0.5055 0.5319 0.9428
0.7212 0.0361 0.0842
0.7517 0.3656 0.6933
0.9895 0.8625 0.8267
0.0015 0.9763 0.5240
0.0330 0.7144 0.9311
0.0708 0.8030 0.7226
0.1077 0.5256 0.1369
0.1119 0.0592 0.8814
0.1791 0.2918 0.3019
0.1922 0.1743 0.0960
0.2395 0.4774 0.4999
0.2648 0.9080 0.2825
0.2816 0.2010 0.6751
0.3165 0.0952 0.4739
0.3610 0.3499 0.8846
0.3839 0.8532 0.6364
0.4342 0.5764 0.0536
0.4601 0.6983 0.8496
0.4794 0.9674 0.0210
0.4840 0.4112 0.2477
0.5365 0.6943 0.4325
0.5824 0.8012 0.2346
0.6073 0.5419 0.6383
0.6431 0.0465 0.3970
0.6769 0.3031 0.7992
0.7104 0.1955 0.5996
0.7453 0.4876 0.9986
0.7506 0.9086 0.7719
0.7817 0.1164 0.9668
0.7827 0.2050 0.1859
0.8547 0.3532 0.3858
0.8999 0.8622 0.1281
0.9263 0.5934 0.5505
0.9656 0.6996 0.3493
0.9917 0.4272 0.7526
```


This entry pairs a crystal structure of CsMnH4Cl3O2 with its computed powder XRD pattern. Radiation: CuKα. Structure: a crystal structure in the Materials Project, relaxed with GGA+U.
Kinematic intensities with the Lorentz-polarization factor, no thermal factor.

Principal peaks in the range 2θ from 10° to 90°, in order of rising 2θ:
Position (°2θ), I/Imax
15.3, 23
18.1, 42
21.8, 42
22.9, 54
30.3, 100
31.1, 27
33.2, 79
44.4, 42

Structural model:
```
CsMnH4Cl3O2
1.0
9.1387 0.0000 0.0000
0.0000 7.3838 0.0000
0.0000 0.0000 11.5999
Cs Mn H Cl O
4 4 16 12 8
direct
0.2500 0.0000 0.1462
0.2500 0.0000 0.6462
0.7500 0.0000 0.3538
0.7500 0.0000 0.8538
0.0000 0.4678 0.2500
0.0000 0.5322 0.7500
0.5000 0.4678 0.7500
0.5000 0.5322 0.2500
0.0224 0.3078 0.9479
0.0224 0.6922 0.4479
0.1764 0.2998 0.8846
0.1764 0.7002 0.3846
0.3236 0.2998 0.3846
0.3236 0.7002 0.8846
0.4776 0.3078 0.4479
0.4776 0.6922 0.9479
0.5224 0.3078 0.0521
0.5224 0.6922 0.5521
0.6764 0.2998 0.1154
0.6764 0.7002 0.6154
0.8236 0.2998 0.6154
0.8236 0.7002 0.1154
0.9776 0.3078 0.5521
0.9776 0.6922 0.0521
0.0894 0.2224 0.3908
0.0894 0.7776 0.8908
0.2500 0.5000 0.1505
0.2500 0.5000 0.6505
0.4106 0.2224 0.8908
0.4106 0.7776 0.3908
0.5894 0.2224 0.6092
0.5894 0.7776 0.1092
0.7500 0.5000 0.3495
0.7500 0.5000 0.8495
0.9106 0.2224 0.1092
0.9106 0.7776 0.6092
0.0698 0.3147 0.8712
0.0698 0.6853 0.3712
0.4302 0.3147 0.3712
0.4302 0.6853 0.8712
0.5698 0.3147 0.1288
0.5698 0.6853 0.6288
0.9302 0.3147 0.6288
0.9302 0.6853 0.1288
```


This entry pairs a crystal structure of NaMnBO3 with its computed powder XRD pattern. Radiation: CuKα. Structure: a crystal structure in the Materials Project, relaxed with GGA+U.
Kinematic intensities with the Lorentz-polarization factor, no thermal factor.

Principal peaks in the range 2θ from 10° to 90°, in order of rising 2θ:
Position (°2θ), I/Imax
19.6, 48
20.0, 82
34.5, 100
35.2, 31
36.7, 25
36.9, 25
39.4, 57
47.9, 38

Structural model:
```
NaMnBO3
1.0
5.1720 0.0000 0.0000
2.5841 4.5356 0.0000
0.9516 0.0227 5.7999
Na Mn B O
2 2 2 6
direct
0.0000 0.0000 0.0000
0.3303 0.3419 0.4993
0.6644 0.6742 0.7486
0.6655 0.6726 0.2484
0.3330 0.3393 0.9981
0.9968 0.0087 0.4986
0.0382 0.4887 0.9521
0.2923 0.8588 0.5428
0.4719 0.4947 0.0445
0.4895 0.0332 0.9977
0.8400 0.3148 0.5012
0.8570 0.8545 0.4511
```


This entry pairs a crystal structure of CaMn2O5 with its computed powder XRD pattern. Radiation: CuKα. Structure: a crystal structure in the Materials Project, relaxed with GGA+U.
Kinematic intensities with the Lorentz-polarization factor, no thermal factor.

Principal peaks in the range 2θ from 10° to 90°, in order of rising 2θ:
Position (°2θ), I/Imax
17.1, 36
23.6, 96
24.0, 37
32.6, 38
33.9, 100
34.6, 38
48.3, 50
61.5, 33

Structural model:
```
CaMn2O5
1.0
3.7068 0.0000 0.0000
0.0000 5.4919 0.0000
0.0000 0.0000 10.3798
Ca Mn O
2 4 10
direct
0.0000 0.0385 0.0000
0.0000 0.9615 0.5000
0.5000 0.0344 0.7359
0.5000 0.4897 0.0066
0.5000 0.5103 0.5066
0.5000 0.9656 0.2359
0.0000 0.0189 0.2575
0.0000 0.4667 0.4708
0.0000 0.5333 0.9708
0.0000 0.9811 0.7575
0.5000 0.1906 0.5775
0.5000 0.2058 0.8924
0.5000 0.2776 0.1427
0.5000 0.7224 0.6427
0.5000 0.7942 0.3924
0.5000 0.8094 0.0775
```


This entry pairs a crystal structure of Li2VF6 with its computed powder XRD pattern. Radiation: CuKα. Structure: a crystal structure in the Materials Project, relaxed with GGA+U.
Kinematic intensities with the Lorentz-polarization factor, no thermal factor.

Principal peaks in the range 2θ from 10° to 90°, in order of rising 2θ:
Position (°2θ), I/Imax
17.9, 77
18.8, 24
19.1, 30
20.6, 100
20.9, 39
25.8, 19
26.8, 36
41.9, 33

Structural model:
```
Li2VF6
1.0
4.6432 -2.7502 0.0000
4.6432 2.7502 0.0000
-0.3779 0.0000 9.9383
Li V F
4 2 12
direct
0.1162 0.8838 0.5000
0.4102 0.7391 0.7868
0.7391 0.4102 0.2868
0.8838 0.1162 0.0000
0.0628 0.4221 0.6110
0.4221 0.0628 0.1110
0.0225 0.2673 0.1507
0.2080 0.5362 0.7596
0.2673 0.0225 0.6507
0.2786 0.9414 0.9534
0.3346 0.4363 0.5111
0.4363 0.3346 0.0111
0.4582 0.7716 0.2171
0.5362 0.2080 0.2596
0.7716 0.4582 0.7171
0.7979 0.8361 0.0550
0.8361 0.7979 0.5550
0.9414 0.2786 0.4534
```


This entry pairs a crystal structure of MoO2 with its computed powder XRD pattern. Radiation: CuKα. Structure: a crystal structure in the Materials Project, relaxed with GGA+U.
Kinematic intensities with the Lorentz-polarization factor, no thermal factor.

Principal peaks in the range 2θ from 10° to 90°, in order of rising 2θ:
Position (°2θ), I/Imax
26.2, 100
33.8, 58
34.0, 20
51.2, 16
51.3, 33
51.6, 16
54.0, 17
65.0, 17

Structural model:
```
MoO2
1.0
5.7257 0.0000 0.0000
0.0000 4.8281 0.0000
-2.2444 0.0000 5.3013
Mo O
4 8
direct
0.2497 0.9999 0.2493
0.2497 0.5001 0.7493
0.7503 0.0001 0.7507
0.7503 0.4999 0.2507
0.1037 0.1949 0.8924
0.1037 0.3051 0.3924
0.3963 0.6959 0.1057
0.3963 0.8041 0.6057
0.6037 0.1959 0.3943
0.6037 0.3041 0.8943
0.8963 0.6949 0.6076
0.8963 0.8051 0.1076
```